No. 1
Simulated X-ray diffraction stick pattern
Compound: MgUMnO6
Radiation: copper Kα
Structure: a cell relaxed with PBE+U
Kinematic intensities with the Lorentz-polarization factor, no thermal factor.

Top 8 peaks for 2θ from 10° to 80°, low angle first:
index, 2θ (°), I/Imax
0 0 2, 18.9, 33
1 0 1, 20.9, 100
1 1 0, 26.5, 90
1 1 2, 32.7, 36
1 0 3, 34.3, 67
2 0 0, 37.8, 19
2 1 1, 43.6, 33
2 1 3, 51.9, 60

Structure:
Cell: 4.7613 4.7613 9.4001 Å, 90.00 90.00 90.00°
Space group P4_2nm (No. 102)
Symmetry-distinct sites (fractional):
Mg (0.0000, 0.0000, 0.0000) x2
U (0.0000, 0.0000, 0.3349) x2
Mn (0.0000, 0.0000, 0.6706) x2
O (0.1865, 0.1865, 0.5118) x4
O (0.1878, 0.1878, 0.8252) x4
O (0.2072, 0.2072, 0.1715) x4

---

No. 2
Simulated X-ray diffraction stick pattern
Compound: Mg2UMnO8
Radiation: copper Kα
Structure: a cell relaxed with PBE+U
Kinematic intensities with the Lorentz-polarization factor, no thermal factor.

Top 8 peaks for 2θ from 10° to 80°, low angle first:
index, 2θ (°), I/Imax
0 0 1, 14.0, 40
1 1 0, 18.8, 100
1 1 1, 23.5, 57
0 2 0, 26.5, 50
2 0 0, 27.0, 45
1 1 2, 34.1, 71
0 2 2, 39.0, 34
1 3 2, 51.8, 34

Structure:
Cell: 6.5987 6.7277 6.3382 Å, 90.00 90.00 90.00°
Space group Cmmm (No. 65)
Symmetry-distinct sites (fractional):
Mg (0.0000, 0.0000, 0.2418) x4
U (0.0000, 0.5000, 0.5000) x2
Mn (0.0000, 0.5000, 0.0000) x2
O (0.0000, 0.3094, 0.2279) x8
O (0.2006, 0.0000, 0.5000) x4
O (0.2130, 0.0000, 0.0000) x4

---

No. 3
Simulated X-ray diffraction stick pattern
Compound: Mg6MnVO8
Radiation: copper Kα
Structure: a cell relaxed with PBE+U
Kinematic intensities with the Lorentz-polarization factor, no thermal factor.

Top 8 peaks for 2θ from 10° to 80°, low angle first:
index, 2θ (°), I/Imax
1 0 0, 20.6, 14
1 1 0, 29.2, 11
1 1 2, 36.0, 23
2 0 0, 41.8, 100
2 1 0, 47.0, 5
2 2 0, 60.6, 57
3 1 2, 72.6, 12
2 2 4, 76.4, 17

Structure:
Cell: 4.3177 4.3177 8.6495 Å, 90.00 90.00 90.00°
Space group P4/mmm (No. 123)
Symmetry-distinct sites (fractional):
Mg (0.0000, 0.0000, 0.0000) x1
Mg (0.0000, 0.0000, 0.5000) x1
Mg (0.0000, 0.5000, 0.2491) x4
Mn (0.5000, 0.5000, 0.5000) x1
V (0.5000, 0.5000, 0.0000) x1
O (0.0000, 0.0000, 0.2500) x2
O (0.0000, 0.5000, 0.0000) x2
O (0.0000, 0.5000, 0.5000) x2
O (0.5000, 0.5000, 0.2485) x2